1.
Structure and simulated powder X-ray diffraction pattern of CaTc3O8 (a PBE-relaxed structure; a wavelength of 1.5418 Å).
Lines closer than 0.1° are merged.

Cell and atoms:
```
12
Lattice="5.1155 -3.1981 0.0000 5.1155 3.1981 0.0000 -3.1439 0.0000 5.1754" Properties=species:S:1:pos:R:3 pbc="T T T"
Ca 0.0000 0.0000 0.0000
Tc 0.9858 1.5990 2.5877
Tc 0.9858 -1.5990 2.5877
Tc 5.1155 0.0000 0.0000
O 1.6130 0.0000 1.5939
O 2.4830 1.4113 3.8768
O 0.3619 0.0000 3.8136
O 4.6041 1.4113 1.2985
O 2.4830 -1.4113 3.8768
O 6.7253 0.0000 1.3618
O 4.6041 -1.4113 1.2985
O 5.4741 0.0000 3.5815
```

Principal peaks in the range 2θ = 10–90°, by angle:
2θ/deg	I/Imax
17.16	13
18.56	100
32.94	50
34.72	19
41.13	34
41.30	17
45.59	10
55.74	11
57.65	17
61.07	14



2.
Structure and simulated powder X-ray diffraction pattern of Ca4Tc6O19 (a PBE-relaxed structure; a wavelength of 1.5418 Å).
Lines closer than 0.1° are merged.

Cell and atoms:
```
29
Lattice="-4.5960 4.5960 4.5960 4.5960 -4.5960 4.5960 4.5960 4.5960 -4.5960" Properties=species:S:1:pos:R:3 pbc="T T T"
Ca 3.2851 3.2851 -3.2851
Ca 3.2851 -3.2851 3.2851
Ca 1.3108 1.3108 1.3108
Ca -3.2851 3.2851 3.2851
Tc 4.5960 0.0000 1.5684
Tc 4.5960 3.0276 0.0000
Tc 1.5684 4.5960 0.0000
Tc 3.0276 0.0000 4.5960
Tc 0.0000 1.5684 4.5960
Tc 0.0000 4.5960 3.0276
O 0.0000 0.0000 0.0000
O 3.4038 0.0000 0.0000
O 5.7881 0.0000 0.0000
O 4.3993 1.9846 -1.5955
O 6.1914 -0.1966 2.6114
O 3.0005 0.1966 2.6114
O 1.9846 -1.5955 4.3993
O 2.6114 3.0005 0.1966
O 0.0000 3.4038 0.0000
O 0.0000 0.0000 3.4038
O 4.7926 1.9846 1.5955
O 0.1966 2.6114 3.0005
O 0.0000 5.7881 0.0000
O 0.0000 0.0000 5.7881
O 2.6114 6.1914 -0.1966
O -1.5955 4.3993 1.9846
O 1.9846 1.5955 4.7926
O 1.5955 4.7926 1.9846
O -0.1966 2.6114 6.1914
```

Principal peaks in the range 2θ = 10–90°, by angle:
2θ/deg	I/Imax
13.62	68
19.31	50
23.71	30
30.76	100
36.58	70
48.52	18
50.64	50
60.43	28
62.26	23
69.34	16



3.
Structure and simulated powder X-ray diffraction pattern of Ca6Tc3O14 (a PBE-relaxed structure; a wavelength of 1.5418 Å).
Lines closer than 0.1° are merged.

Cell and atoms:
```
23
Lattice="8.3434 0.0000 0.0000 -4.1717 7.2256 0.0000 0.0000 0.0000 5.3136" Properties=species:S:1:pos:R:3 pbc="T T T"
Ca -2.2307 3.9987 0.0000
Ca 2.0342 0.6384 2.8485
Ca 1.8241 3.2944 0.0000
Ca 0.4066 7.1581 0.0000
Ca 3.7075 5.1447 2.8485
Ca 6.7734 1.4425 2.8485
Tc 0.0000 0.0000 5.2534
Tc 0.0000 4.8171 2.3963
Tc 4.1717 2.4085 1.9878
O 0.0000 0.0000 1.7730
O -2.9450 6.1591 4.3550
O 0.3103 1.5956 4.3550
O -0.1678 3.1888 1.6143
O -1.3262 5.7765 1.6143
O 0.0000 4.8171 4.2234
O 2.8878 1.4193 0.8346
O 2.6789 3.0324 3.1299
O 1.4940 5.4859 1.6143
O 4.3777 0.8038 3.1299
O 3.9569 4.0150 0.8346
O 2.6347 6.6965 4.3550
O 5.6704 1.7913 0.8346
O 5.4584 3.3893 3.1299
```

Principal peaks in the range 2θ = 10–90°, by angle:
2θ/deg	I/Imax
20.75	52
21.30	68
27.18	32
29.91	100
37.01	37
40.24	22
42.22	23
43.38	34
56.05	17
57.99	17



4.
Structure and simulated powder X-ray diffraction pattern of Ca2TlTcO6 (a PBE-relaxed structure; a wavelength of 1.5418 Å).
Lines closer than 0.1° are merged.

Cell and atoms:
```
10
Lattice="5.6303 0.0000 0.0000 0.0000 5.6303 0.0000 0.0000 0.0000 5.1639" Properties=species:S:1:pos:R:3 pbc="T T T"
Ca 0.0000 2.8151 0.0000
Ca 2.8151 0.0000 0.0000
Tl 0.0000 0.0000 2.9352
Tc 2.8151 2.8151 3.2770
O 0.0000 0.0000 0.7676
O 1.5526 1.5526 3.9593
O 1.5526 4.0777 3.9593
O 2.8151 2.8151 1.5089
O 4.0777 1.5526 3.9593
O 4.0777 4.0777 3.9593
```

Principal peaks in the range 2θ = 10–90°, by angle:
2θ/deg	I/Imax
17.17	41
22.33	45
23.38	12
28.31	100
31.79	37
36.35	13
41.69	19
45.57	24
47.80	25
54.52	32



5.
Structure and simulated powder X-ray diffraction pattern of CaYTc2O8 (a PBE-relaxed structure; a wavelength of 1.5418 Å).
Lines closer than 0.1° are merged.

Cell and atoms:
```
12
Lattice="5.9096 0.0000 0.0000 -2.9548 5.1178 0.0000 0.0000 0.0000 6.7745" Properties=species:S:1:pos:R:3 pbc="T T T"
Ca 0.0000 0.0000 0.0000
Y 0.0000 0.0000 3.3873
Tc 0.0000 3.4119 5.4731
Tc 2.9548 1.7059 1.3014
O 0.0000 1.6547 4.9320
O -1.5218 4.2905 4.9320
O 1.4330 0.8274 1.8425
O 0.0000 3.4119 0.4518
O 2.9548 1.7059 6.3227
O 1.5218 4.2905 4.9320
O 4.4766 0.8274 1.8425
O 2.9548 3.4631 1.8425
```

Principal peaks in the range 2θ = 10–90°, by angle:
2θ/deg	I/Imax
21.76	100
30.25	57
31.68	35
44.37	25
48.97	22
50.89	12
53.73	11
54.64	16
62.91	11
72.15	9



6.
Structure and simulated powder X-ray diffraction pattern of Ca2ZnTcO6 (a PBE-relaxed structure; a wavelength of 1.5418 Å).
Lines closer than 0.1° are merged.

Cell and atoms:
```
10
Lattice="5.2457 0.0000 0.0000 0.0000 5.2457 0.0000 0.0000 0.0000 5.0139" Properties=species:S:1:pos:R:3 pbc="T T T"
Ca 0.0000 2.6229 0.0000
Ca 2.6229 0.0000 0.0000
Zn 0.0000 0.0000 2.7384
Tc 2.6229 2.6229 2.8970
O 0.0000 0.0000 0.8470
O 1.3742 1.3742 3.5781
O 1.3742 3.8715 3.5781
O 2.6229 2.6229 1.1192
O 3.8715 1.3742 3.5781
O 3.8715 3.8715 3.5781
```

Principal peaks in the range 2θ = 10–90°, by angle:
2θ/deg	I/Imax
17.69	28
23.99	24
29.97	100
34.19	32
35.82	12
43.57	13
49.12	26
50.35	27
58.62	28
60.79	12